# Cu2PHO5
Computed XRD peak list, Cu Kα. Input: a crystal structure in the Materials Project, relaxed with PBE.

Peak list (12 most intense, 5° ≤ 2θ ≤ 70°, by angle)
d (Å), I (rel.), (hkl)
5.878, 100, 0 1 1
4.876, 100, 1 1 -1
4.798, 81, 1 0 0
3.772, 58, 0 2 1
2.939, 96, 0 2 2
2.681, 59, 0 3 1
2.653, 94, 2 1 -1
2.580, 45, 0 1 3
2.444, 36, 1 3 -2
2.398, 38, 2 0 -4
2.334, 38, 2 2 -3
1.731, 41, 2 4 -2

Cell and atoms:
```
Cu2PHO5
1.0
5.946 0.000 0.000
0.000 8.519 0.000
-5.926 0.000 8.122
Cu P H O
8 4 4 20
Cartesian
-0.069 1.073 1.125
-3.032 3.186 5.186
-1.485 0.024 4.062
1.478 4.235 0.001
-1.459 4.284 8.120
1.504 8.495 4.059
3.051 5.333 2.936
0.088 7.446 6.997
0.037 6.376 1.880
-2.926 6.402 5.941
2.945 2.117 2.181
-0.018 2.143 6.241
0.072 1.761 3.412
-2.891 2.498 7.473
2.910 6.021 0.649
-0.053 6.758 4.710
-4.235 6.240 6.747
-1.272 6.538 2.686
-2.793 5.251 4.888
0.170 7.527 0.827
0.007 5.018 1.081
-2.956 7.760 5.142
0.029 0.848 3.043
-2.934 3.411 7.104
-1.221 2.109 5.283
1.742 2.151 1.222
-1.723 6.368 6.900
1.241 6.410 2.839
2.953 5.108 1.018
-0.010 7.671 5.079
2.976 0.759 2.980
0.012 3.501 7.040
-0.151 0.992 7.294
2.812 3.268 3.234
1.291 1.981 5.436
4.255 2.279 1.375
```